This entry pairs a crystal structure of Li3VO3F with its theoretical powder XRD pattern. Radiation: Cu Kα. Structure: a cell relaxed with PBE+U.
Intensities are scaled so that the largest is 100.

Cell lengths 5.162, 7.773, 7.788 Å; angles 97.88, 102.91, 103.10 degrees
Space group P-1 (No. 2)
Inequivalent atoms, fractional coordinates:
Li (0.000, 0.000, 0.000) (multiplicity 1)
Li (0.000, 0.500, 0.500) (multiplicity 1)
Li (0.003, 0.370, 0.133) (multiplicity 2)
Li (0.015, 0.265, 0.752) (multiplicity 2)
Li (0.035, 0.126, 0.384) (multiplicity 2)
Li (0.490, 0.384, 0.616) (multiplicity 2)
Li (0.500, 0.000, 0.500) (multiplicity 1)
Li (0.500, 0.500, 0.000) (multiplicity 1)
V (0.473, 0.112, 0.855) (multiplicity 2)
V (0.488, 0.270, 0.241) (multiplicity 2)
O (0.260, 0.523, 0.751) (multiplicity 2)
O (0.261, 0.126, 0.648) (multiplicity 2)
O (0.263, 0.361, 0.363) (multiplicity 2)
O (0.271, 0.248, 0.001) (multiplicity 2)
O (0.282, 0.880, 0.890) (multiplicity 2)
O (0.295, 0.015, 0.248) (multiplicity 2)
F (0.245, 0.746, 0.498) (multiplicity 2)
F (0.249, 0.639, 0.126) (multiplicity 2)

Principal peaks in the range 10 to 90 degrees two-theta, by intensity:
18.3°, rel. 100, hkl 1 0 0
43.0°, rel. 61, hkl -2 2 2
43.6°, rel. 56, hkl 1 3 -1
43.5°, rel. 56, hkl 1 -1 3
11.9°, rel. 48, hkl 0 0 1
15.1°, rel. 30, hkl 0 1 -1
63.1°, rel. 28, hkl -1 1 5
23.9°, rel. 26, hkl 0 0 2
28.7°, rel. 24, hkl 1 -2 1
23.8°, rel. 23, hkl 1 1 -1
26.1°, rel. 22, hkl 1 0 -2
19.0°, rel. 17, hkl 1 0 -1



This entry pairs a crystal structure of U2V2O11 with its theoretical powder XRD pattern. Radiation: Cu Kα. Structure: a cell relaxed with PBE+U.
Intensities are scaled so that the largest is 100.

Cell lengths 6.150, 13.220, 7.372 Å; angles 90.00, 120.16, 90.00 degrees
Space group P2_1/c (No. 14)
Inequivalent atoms, fractional coordinates:
U (0.161, 0.177, 0.329) (multiplicity 4)
V (0.212, 0.070, 0.854) (multiplicity 4)
O (0.035, 0.012, 0.260) (multiplicity 4)
O (0.170, 0.703, 0.302) (multiplicity 4)
O (0.177, 0.157, 0.013) (multiplicity 4)
O (0.207, 0.153, 0.670) (multiplicity 4)
O (0.487, 0.144, 0.455) (multiplicity 4)
O (0.500, 0.000, 0.000) (multiplicity 2)

Principal peaks in the range 10 to 90 degrees two-theta, by intensity:
18.0°, rel. 100, hkl 1 1 0
24.3°, rel. 57, hkl 1 0 -2
31.2°, rel. 38, hkl 1 4 -1
30.5°, rel. 36, hkl 0 4 1
19.3°, rel. 32, hkl 0 2 1
16.7°, rel. 29, hkl 1 0 0
13.4°, rel. 26, hkl 0 2 0
20.5°, rel. 25, hkl 1 2 -1
28.8°, rel. 23, hkl 0 1 2
33.7°, rel. 20, hkl 1 3 1
34.4°, rel. 18, hkl 2 1 0
24.6°, rel. 17, hkl 0 3 1



This entry pairs a crystal structure of Li4Fe5NiO12 with its theoretical powder XRD pattern. Radiation: Cu Kα. Structure: a cell relaxed with PBE+U.
Intensities are scaled so that the largest is 100.

Cell lengths 5.216, 8.807, 10.327 Å; angles 90.00, 90.01, 90.00 degrees
Space group C2/m (No. 12)
Inequivalent atoms, fractional coordinates:
Li (0.100, 0.248, 0.249) (multiplicity 8)
Fe (0.000, 0.166, 0.500) (multiplicity 4)
Fe (0.000, 0.334, 0.000) (multiplicity 4)
Fe (0.000, 0.500, 0.500) (multiplicity 2)
Ni (0.000, 0.000, 0.000) (multiplicity 2)
O (0.148, 0.500, 0.906) (multiplicity 4)
O (0.153, 0.183, 0.892) (multiplicity 8)
O (0.155, 0.324, 0.608) (multiplicity 8)
O (0.161, 0.000, 0.596) (multiplicity 4)

Principal peaks in the range 10 to 90 degrees two-theta, by intensity:
17.2°, rel. 100, hkl 0 0 2
44.1°, rel. 34, hkl 1 3 3
36.2°, rel. 28, hkl 1 3 1
57.3°, rel. 19, hkl 1 3 -5
38.7°, rel. 18, hkl 2 0 2
62.8°, rel. 16, hkl 3 3 -1
49.7°, rel. 13, hkl 2 0 4
34.4°, rel. 10, hkl 2 0 0
74.2°, rel. 7, hkl 1 3 -7
39.3°, rel. 7, hkl 1 3 -2
66.2°, rel. 5, hkl 0 6 2
64.9°, rel. 5, hkl 2 0 -6



This entry pairs a crystal structure of MgTiP3WO12 with its theoretical powder XRD pattern. Radiation: Cu Kα. Structure: a cell relaxed with PBE+U.
Intensities are scaled so that the largest is 100.

Cell lengths 8.7678, 8.7678, 21.1487 Å; angles 90.00, 90.00, 120.00 degrees
Space group R3c (No. 161, hexagonal axes)
Inequivalent atoms, fractional coordinates:
Mg (0.0000, 0.0000, 0.0000) (multiplicity 6)
Ti (0.0000, 0.0000, 0.3552) (multiplicity 6)
P (0.0407, 0.3642, 0.4186) (multiplicity 18)
W (0.0000, 0.0000, 0.1437) (multiplicity 6)
O (0.0217, 0.1791, 0.4283) (multiplicity 18)
O (0.1406, 0.4505, 0.3591) (multiplicity 18)
O (0.1465, 0.4782, 0.4776) (multiplicity 18)
O (0.1542, 0.4784, 0.7438) (multiplicity 18)

Principal peaks in the range 10 to 90 degrees two-theta, by intensity:
20.3°, rel. 100, hkl 1 1 0
20.5°, rel. 75, hkl 1 0 4
14.4°, rel. 73, hkl 0 1 2
32.6°, rel. 72, hkl 1 1 6
23.9°, rel. 53, hkl 1 1 3
35.5°, rel. 40, hkl 3 0 0
29.0°, rel. 38, hkl 0 2 4
35.6°, rel. 37, hkl 2 1 4
55.5°, rel. 36, hkl 4 1 0
46.7°, rel. 29, hkl 1 2 8
48.9°, rel. 26, hkl 2 2 6
24.9°, rel. 26, hkl 2 0 2



This entry pairs a crystal structure of Li3MnCu3O8 with its theoretical powder XRD pattern. Radiation: Cu Kα. Structure: a cell relaxed with PBE+U.
Intensities are scaled so that the largest is 100.

Cell lengths 5.8720, 5.8720, 14.5982 Å; angles 90.00, 90.00, 120.00 degrees
Space group R-3m (No. 166, hexagonal axes)
Inequivalent atoms, fractional coordinates:
Li (0.0000, 0.5000, 0.0000) (multiplicity 9)
Mn (0.0000, 0.0000, 0.5000) (multiplicity 3)
Cu (0.0000, 0.5000, 0.5000) (multiplicity 9)
O (0.0000, 0.0000, 0.2397) (multiplicity 6)
O (0.0188, 0.5094, 0.2398) (multiplicity 18)

Principal peaks in the range 10 to 90 degrees two-theta, by intensity:
18.2°, rel. 100, hkl 0 0 3
43.4°, rel. 65, hkl 0 2 4
35.8°, rel. 41, hkl 0 2 1
63.4°, rel. 18, hkl 2 2 0
62.7°, rel. 17, hkl 2 0 8
57.1°, rel. 15, hkl 0 2 7
66.5°, rel. 15, hkl 2 2 3
37.5°, rel. 14, hkl 2 0 2
47.4°, rel. 14, hkl 2 0 5
79.9°, rel. 8, hkl 4 0 4
75.0°, rel. 7, hkl 4 0 1
36.9°, rel. 5, hkl 0 0 6